[1]
For Hf4AuO, a crystal structure in Alexandria, relaxed with GGA-PBE gives the computed powder XRD pattern in this record (a wavelength of 1.5418 Å).
Neutral-atom scattering factors, no anomalous dispersion.

The 10 most intense peaks (10° ≤ 2θ ≤ 90°), most intense first:
| 2theta | d_spacing | Rel. int. |
| --- | --- | --- |
| 36.95 | 2.433 | 100 |
| 35.78 | 2.509 | 55 |
| 33.51 | 2.675 | 54 |
| 37.89 | 2.375 | 33 |
| 27.82 | 3.207 | 31 |
| 32.91 | 2.722 | 27 |
| 56.82 | 1.620 | 26 |
| 37.55 | 2.395 | 23 |
| 39.86 | 2.261 | 21 |
| 43.44 | 2.083 | 21 |

Cell and atoms:
```
Hf4AuO
1.0
3.7350 -6.4729 0.0000
3.7350 6.4729 0.0000
-3.0068 0.0000 4.7496
Hf Au O
8 2 2
Cartesian
0.1109 3.7658 4.0184
-0.5345 0.7026 3.3640
0.9689 -0.7026 0.9892
2.8489 3.7658 3.1059
1.6143 -3.7658 1.6437
3.4943 0.7026 3.7604
4.9977 -0.7026 1.3856
4.3523 -3.7658 0.7311
2.9833 1.4383 1.1874
1.4799 -1.4383 3.5622
1.4799 5.6522 3.5622
2.9833 -5.6522 1.1874
```

[2]
For TbY6Te8, a crystal structure in Alexandria, relaxed with GGA-PBE gives the computed powder XRD pattern in this record (a wavelength of 1.5418 Å).
Neutral-atom scattering factors, no anomalous dispersion.

The 10 most intense peaks (10° ≤ 2θ ≤ 90°), most intense first:
| 2theta | d_spacing | Rel. int. |
| --- | --- | --- |
| 29.04 | 3.074 | 100 |
| 41.54 | 2.174 | 75 |
| 68.21 | 1.375 | 33 |
| 51.48 | 1.775 | 26 |
| 75.79 | 1.255 | 24 |
| 60.20 | 1.537 | 12 |
| 24.00 | 3.708 | 6 |
| 12.47 | 7.100 | 6 |
| 25.08 | 3.550 | 5 |
| 31.72 | 2.821 | 5 |

Cell and atoms:
```
TbY6Te8
1.0
0.0000 6.1488 6.1488
6.1488 0.0000 6.1488
6.1488 6.1488 0.0000
Tb Y Te
1 6 8
Cartesian
0.0000 0.0000 0.0000
3.0744 3.0744 0.0000
3.0744 0.0000 3.0744
6.1488 3.0744 3.0744
0.0000 3.0744 3.0744
3.0744 6.1488 3.0744
3.0744 3.0744 6.1488
3.0744 3.0744 3.0744
6.1488 6.1488 3.1488
6.1488 3.1488 6.1488
9.1489 6.1488 6.1488
3.1488 6.1488 6.1488
6.1488 9.1489 6.1488
6.1488 6.1488 9.1489
9.2232 9.2232 9.2232
```

[3]
For Nd6Ho2Mg, a crystal structure in Alexandria, relaxed with GGA-PBE gives the computed powder XRD pattern in this record (a wavelength of 1.5418 Å).
Neutral-atom scattering factors, no anomalous dispersion.

The 10 most intense peaks (10° ≤ 2θ ≤ 90°), most intense first:
| 2theta | d_spacing | Rel. int. |
| --- | --- | --- |
| 31.77 | 2.817 | 100 |
| 31.62 | 2.830 | 77 |
| 33.36 | 2.686 | 65 |
| 32.48 | 2.756 | 55 |
| 27.13 | 3.287 | 33 |
| 29.03 | 3.076 | 31 |
| 64.23 | 1.450 | 25 |
| 26.34 | 3.383 | 23 |
| 50.30 | 1.814 | 22 |
| 44.12 | 2.053 | 22 |

Cell and atoms:
```
Nd6Ho2Mg
1.0
-3.0757 4.7531 10.1492
3.0757 -4.7531 10.1492
3.0757 4.7531 -10.1492
Nd Ho Mg
12 4 2
Cartesian
3.6831 1.6637 -3.4654
0.0000 0.0000 1.6335
3.6831 -1.6637 6.6838
3.6831 1.6637 3.4654
0.0000 0.0000 8.5157
0.6075 3.0894 3.4654
2.4682 1.6637 6.6838
0.0000 0.0000 11.7828
-0.6075 3.0894 6.6838
-0.6075 6.4168 3.4654
0.0000 0.0000 18.6649
-0.6075 3.0894 13.6147
2.7522 1.6199 0.0000
2.7522 -1.6199 10.1492
0.3235 6.3730 0.0000
0.3235 3.1332 10.1492
0.0000 0.0000 5.0746
0.0000 0.0000 15.2238
```

[4]
For K2BeHgAs2, a crystal structure in Alexandria, relaxed with GGA-PBE gives the computed powder XRD pattern in this record (a wavelength of 1.5418 Å).
Neutral-atom scattering factors, no anomalous dispersion.

The 10 most intense peaks (10° ≤ 2θ ≤ 90°), most intense first:
| 2theta | d_spacing | Rel. int. |
| --- | --- | --- |
| 11.23 | 7.876 | 100 |
| 15.17 | 5.839 | 50 |
| 32.96 | 2.718 | 36 |
| 22.06 | 4.030 | 32 |
| 41.09 | 2.197 | 30 |
| 37.13 | 2.422 | 29 |
| 30.48 | 2.932 | 28 |
| 36.58 | 2.457 | 26 |
| 42.71 | 2.117 | 24 |
| 31.77 | 2.817 | 24 |

Cell and atoms:
```
K2BeHgAs2
1.0
-3.1433 7.8763 3.0709
3.1433 -7.8763 3.0709
3.1433 7.8763 -3.0709
K Be Hg As
4 2 2 4
Cartesian
1.4123 2.7203 0.0000
1.4123 -2.7203 3.0709
1.7310 10.5966 0.0000
1.7310 5.1560 3.0709
3.1433 0.0000 1.5354
0.0000 7.8763 1.5354
0.0000 0.0000 1.5354
0.0000 0.0000 4.6063
4.3721 1.4562 0.0000
1.2288 6.4201 0.0000
1.9145 1.4562 3.0709
-1.2288 6.4201 3.0709
```